Entry 1:
Diffraction record for In2HgAs. The powder XRD pattern is calculated, not measured: it uses a DFT-relaxed cell (GGA-PBE, Alexandria) and CuKα.

Principal peaks in the range 2θ from 10° to 90°, by angle:
hkl 1 1 1, 2θ = 20.79°, rel. 12.6
hkl 2 2 0, 2θ = 34.28°, rel. 100.0
hkl 3 1 1, 2θ = 40.43°, rel. 7.5
hkl 4 0 0, 2θ = 49.26°, rel. 17.8
hkl 3 3 1, 2θ = 54.02°, rel. 3.3
hkl 4 2 2, 2θ = 61.38°, rel. 36.5
hkl 4 4 0, 2θ = 72.23°, rel. 11.3
hkl 6 2 0, 2θ = 82.44°, rel. 16.1

Structure:
```
data_In2HgAs
_chemical_formula_sum 'In8 Hg4 As4'
_cell_length_a 7.399
_cell_length_b 7.399
_cell_length_c 7.399
_cell_angle_alpha 90.00
_cell_angle_beta 90.00
_cell_angle_gamma 90.00
_symmetry_space_group_name_H-M 'F m -3 m'
_symmetry_Int_Tables_number 225
_symmetry_space_group_name_Hall '-F 4 2 3'
loop_
_atom_site_label
_atom_site_type_symbol
_atom_site_fract_x
_atom_site_fract_y
_atom_site_fract_z
In1 In 0.250 0.250 0.250
Hg1 Hg 0.000 0.000 0.000
As1 As 0.000 0.000 0.500
```

Entry 2:
Diffraction record for Ag3Pd2Cl3O2. The powder XRD pattern is calculated, not measured: it uses a DFT-relaxed cell (GGA-PBE, Alexandria) and CuKα.

Principal peaks in the range 2θ from 10° to 90°, by angle:
hkl 1 0 3, 2θ = 24.61°, rel. 53.8
hkl 1 1 2, 2θ = 31.54°, rel. 100.0
hkl 0 0 8, 2θ = 32.37°, rel. 83.9
hkl 1 1 4, 2θ = 34.60°, rel. 68.5
hkl 1 1 6, 2θ = 39.23°, rel. 33.6
hkl 2 0 0, 2θ = 43.62°, rel. 76.0
hkl 1 1 10, 2θ = 51.74°, rel. 38.9
hkl 2 0 8, 2θ = 55.35°, rel. 66.9

Structure:
```
data_Ag3Pd2Cl3O2
_chemical_formula_sum 'Ag6 Pd4 Cl6 O4'
_cell_length_a 4.150
_cell_length_b 4.150
_cell_length_c 22.128
_cell_angle_alpha 90.00
_cell_angle_beta 90.00
_cell_angle_gamma 90.00
_symmetry_space_group_name_H-M 'I 4/m m m'
_symmetry_Int_Tables_number 139
_symmetry_space_group_name_Hall '-I 4 2'
loop_
_atom_site_label
_atom_site_type_symbol
_atom_site_fract_x
_atom_site_fract_y
_atom_site_fract_z
Ag1 Ag 0.000 0.000 0.000
Ag2 Ag 0.000 0.000 0.380
Pd1 Pd 0.000 0.500 0.250
Cl1 Cl 0.000 0.000 0.116
Cl2 Cl 0.000 0.000 0.500
O1 O 0.000 0.000 0.268
```

Entry 3:
Diffraction record for As2H5Br2. The powder XRD pattern is calculated, not measured: it uses a DFT-relaxed cell (GGA-PBE, Alexandria) and CuKα.

Principal peaks in the range 2θ from 10° to 90°, by angle:
hkl 0 0 2, 2θ = 20.71°, rel. 100.0
hkl 2 1 1, 2θ = 23.17°, rel. 89.9
hkl 2 0 2, 2θ = 23.44°, rel. 48.8
hkl 3 1 0, 2θ = 24.07°, rel. 81.7
hkl 1 1 2, 2θ = 27.83°, rel. 99.5
hkl 4 1 1, 2θ = 30.06°, rel. 44.1
hkl 5 1 0, 2θ = 32.72°, rel. 42.9
hkl 4 1 3, 2θ = 42.58°, rel. 42.2

Structure:
```
data_As2H5Br2
_chemical_formula_sum 'As8 H20 Br8'
_cell_length_a 16.285
_cell_length_b 5.051
_cell_length_c 8.579
_cell_angle_alpha 90.00
_cell_angle_beta 90.00
_cell_angle_gamma 90.00
_symmetry_space_group_name_H-M 'I m a 2'
_symmetry_Int_Tables_number 46
loop_
_symmetry_equiv_pos_as_xyz
'x,y,z'
'-x,-y,z'
'-x+1/2,y,z'
'x+1/2,-y,z'
'x+1/2,y+1/2,z+1/2'
'-x+1/2,-y+1/2,z+1/2'
'-x,y+1/2,z+1/2'
'x,-y+1/2,z+1/2'
loop_
_atom_site_label
_atom_site_type_symbol
_atom_site_fract_x
_atom_site_fract_y
_atom_site_fract_z
As1 As 0.000 0.000 0.000
As2 As 0.250 0.136 0.653
H1 H 0.041 0.178 0.122
H2 H 0.180 0.207 0.764
H3 H 0.250 0.106 0.061
Br1 Br 0.127 0.697 0.982
```

Please write out number 2 again, unchanged.
Diffraction record for Ag3Pd2Cl3O2. The powder XRD pattern is calculated, not measured: it uses a DFT-relaxed cell (GGA-PBE, Alexandria) and CuKα.

Principal peaks in the range 2θ from 10° to 90°, by angle:
hkl 1 0 3, 2θ = 24.61°, rel. 53.8
hkl 1 1 2, 2θ = 31.54°, rel. 100.0
hkl 0 0 8, 2θ = 32.37°, rel. 83.9
hkl 1 1 4, 2θ = 34.60°, rel. 68.5
hkl 1 1 6, 2θ = 39.23°, rel. 33.6
hkl 2 0 0, 2θ = 43.62°, rel. 76.0
hkl 1 1 10, 2θ = 51.74°, rel. 38.9
hkl 2 0 8, 2θ = 55.35°, rel. 66.9

Structure:
```
data_Ag3Pd2Cl3O2
_chemical_formula_sum 'Ag6 Pd4 Cl6 O4'
_cell_length_a 4.150
_cell_length_b 4.150
_cell_length_c 22.128
_cell_angle_alpha 90.00
_cell_angle_beta 90.00
_cell_angle_gamma 90.00
_symmetry_space_group_name_H-M 'I 4/m m m'
_symmetry_Int_Tables_number 139
_symmetry_space_group_name_Hall '-I 4 2'
loop_
_atom_site_label
_atom_site_type_symbol
_atom_site_fract_x
_atom_site_fract_y
_atom_site_fract_z
Ag1 Ag 0.000 0.000 0.000
Ag2 Ag 0.000 0.000 0.380
Pd1 Pd 0.000 0.500 0.250
Cl1 Cl 0.000 0.000 0.116
Cl2 Cl 0.000 0.000 0.500
O1 O 0.000 0.000 0.268
```

Question: Number 3 is which compound?
Answer: As2H5Br2